# 1
The following is a theoretical X-ray diffraction stick pattern of InBi3Se6. It was derived from a DFT-relaxed cell (GGA-PBE, Alexandria), using Cu Kα.
Intensities are scaled so that the largest is 100.

Largest 8 diffraction maxima, most intense first, 2θ from 10° to 90°:
27.22 deg, I = 100
14.67 deg, I = 69
31.92 deg, I = 52
39.21 deg, I = 44
14.16 deg, I = 37
43.09 deg, I = 32
23.84 deg, I = 27
28.54 deg, I = 27

Atomic structure:
```
data_InBi3Se6
_chemical_formula_sum 'In2 Bi6 Se12'
_symmetry_space_group_name_H-M 'P 1 21/m 1'
_symmetry_Int_Tables_number 11
_cell_length_a 12.6887
_cell_length_b 4.1985
_cell_length_c 12.7259
_cell_angle_alpha 90.00
_cell_angle_beta 100.12
_cell_angle_gamma 90.00
loop_
_symmetry_equiv_pos_as_xyz
'x,y,z'
'-x,-y,-z'
'-x,y+1/2,-z'
'x,-y+1/2,z'
loop_
_atom_site_label
_atom_site_type_symbol
_atom_site_fract_x
_atom_site_fract_y
_atom_site_fract_z
In1 In 0.0924 0.2500 0.4327
Bi1 Bi 0.0860 0.7500 0.8686
Bi2 Bi 0.3659 0.2500 0.9558
Bi3 Bi 0.4178 0.7500 0.3764
Se1 Se 0.0425 0.2500 0.6308
Se2 Se 0.1350 0.2500 0.0140
Se3 Se 0.2422 0.2500 0.3260
Se4 Se 0.2769 0.7500 0.8012
Se5 Se 0.4188 0.7500 0.5935
Se6 Se 0.4369 0.7500 0.1184
```

---

# 2
The following is a theoretical X-ray diffraction stick pattern of InBi3Se6. It was derived from a DFT-relaxed cell (GGA-PBE, Alexandria), using Cu Kα.
Intensities are scaled so that the largest is 100.

Largest 8 diffraction maxima, most intense first, 2θ from 10° to 90°:
23.25 deg, I = 100
34.97 deg, I = 63
23.52 deg, I = 55
35.50 deg, I = 54
38.48 deg, I = 52
32.05 deg, I = 30
15.95 deg, I = 23
44.86 deg, I = 21

Atomic structure:
```
data_InBi3Se6
_chemical_formula_sum 'In4 Bi12 Se24'
_symmetry_space_group_name_H-M 'C m c 21'
_symmetry_Int_Tables_number 36
_cell_length_a 11.7047
_cell_length_b 14.6141
_cell_length_c 7.0035
_cell_angle_alpha 90.00
_cell_angle_beta 90.00
_cell_angle_gamma 90.00
loop_
_symmetry_equiv_pos_as_xyz
'x,y,z'
'-x,-y,z+1/2'
'-x,y,z'
'x,-y,z+1/2'
'x+1/2,y+1/2,z'
'-x+1/2,-y+1/2,z+1/2'
'-x+1/2,y+1/2,z'
'x+1/2,-y+1/2,z+1/2'
loop_
_atom_site_label
_atom_site_type_symbol
_atom_site_fract_x
_atom_site_fract_y
_atom_site_fract_z
In1 In 0.0000 0.1968 0.0000
Bi1 Bi 0.0000 0.4029 0.6180
Bi2 Bi 0.1855 0.1073 0.5533
Se1 Se 0.0000 0.0371 0.8243
Se2 Se 0.0000 0.2206 0.3664
Se3 Se 0.1625 0.4738 0.3345
Se4 Se 0.1709 0.2714 0.8084
```

---

# 3
The following is a theoretical X-ray diffraction stick pattern of In2Bi2Se7. It was derived from a DFT-relaxed cell (GGA-PBE, Alexandria), using Cu Kα.
Intensities are scaled so that the largest is 100.

Largest 8 diffraction maxima, most intense first, 2θ from 10° to 90°:
22.36 deg, I = 100
21.74 deg, I = 62
33.21 deg, I = 51
33.10 deg, I = 43
37.94 deg, I = 40
19.47 deg, I = 35
28.41 deg, I = 31
40.92 deg, I = 30

Atomic structure:
```
data_In2Bi2Se7
_chemical_formula_sum 'In4 Bi4 Se14'
_symmetry_space_group_name_H-M 'C 1 2/m 1'
_symmetry_Int_Tables_number 12
_cell_length_a 10.8076
_cell_length_b 10.8254
_cell_length_c 5.8673
_cell_angle_alpha 90.00
_cell_angle_beta 93.31
_cell_angle_gamma 90.00
loop_
_symmetry_equiv_pos_as_xyz
'x,y,z'
'-x,-y,-z'
'-x,y,-z'
'x,-y,z'
'x+1/2,y+1/2,z'
'-x+1/2,-y+1/2,-z'
'-x+1/2,y+1/2,-z'
'x+1/2,-y+1/2,z'
loop_
_atom_site_label
_atom_site_type_symbol
_atom_site_fract_x
_atom_site_fract_y
_atom_site_fract_z
In1 In 0.2315 0.0000 0.4069
Bi1 Bi 0.0000 0.2932 0.0000
Se1 Se 0.0000 0.0000 0.5000
Se2 Se 0.0944 0.5000 0.2381
Se3 Se 0.2394 0.2731 0.7500
```

---

# 4
The following is a theoretical X-ray diffraction stick pattern of In2BiSe4. It was derived from a DFT-relaxed cell (GGA-PBE, Alexandria), using Cu Kα.
Intensities are scaled so that the largest is 100.

Largest 8 diffraction maxima, most intense first, 2θ from 10° to 90°:
44.07 deg, I = 100
27.92 deg, I = 98
16.81 deg, I = 68
30.02 deg, I = 59
31.50 deg, I = 56
73.95 deg, I = 28
22.13 deg, I = 28
48.50 deg, I = 25

Atomic structure:
```
data_In2BiSe4
_chemical_formula_sum 'In4 Bi2 Se8'
_symmetry_space_group_name_H-M 'I 4/m'
_symmetry_Int_Tables_number 87
_symmetry_space_group_name_Hall '-I 4'
_cell_length_a 8.0335
_cell_length_b 8.0335
_cell_length_c 6.9894
_cell_angle_alpha 90.00
_cell_angle_beta 90.00
_cell_angle_gamma 90.00
loop_
_atom_site_label
_atom_site_type_symbol
_atom_site_fract_x
_atom_site_fract_y
_atom_site_fract_z
In1 In 0.0000 0.5000 0.2500
Bi1 Bi 0.0000 0.0000 0.0000
Se1 Se 0.1737 0.3233 0.5000
```

---

# 5
The following is a theoretical X-ray diffraction stick pattern of Sm4InBi. It was derived from a DFT-relaxed cell (GGA-PBE, Alexandria), using Cu Kα.
Intensities are scaled so that the largest is 100.

Largest 8 diffraction maxima, most intense first, 2θ from 10° to 90°:
32.66 deg, I = 100
33.92 deg, I = 82
30.79 deg, I = 67
32.06 deg, I = 39
45.04 deg, I = 31
56.75 deg, I = 27
66.89 deg, I = 25
28.64 deg, I = 25

Atomic structure:
```
data_Sm4InBi
_chemical_formula_sum 'Sm16 In4 Bi4'
_symmetry_space_group_name_H-M 'C m c m'
_symmetry_Int_Tables_number 63
_symmetry_space_group_name_Hall '-C 2c 2'
_cell_length_a 5.8083
_cell_length_b 21.7682
_cell_length_c 6.5055
_cell_angle_alpha 90.00
_cell_angle_beta 90.00
_cell_angle_gamma 90.00
loop_
_atom_site_label
_atom_site_type_symbol
_atom_site_fract_x
_atom_site_fract_y
_atom_site_fract_z
Sm1 Sm 0.0000 0.0643 0.2500
Sm2 Sm 0.0000 0.2101 0.5005
Sm3 Sm 0.0000 0.3731 0.2500
In1 In 0.0000 0.0767 0.7500
Bi1 Bi 0.0000 0.3492 0.7500
```

---

# 6
The following is a theoretical X-ray diffraction stick pattern of Sm6In5Bi. It was derived from a DFT-relaxed cell (GGA-PBE, Alexandria), using Cu Kα.
Intensities are scaled so that the largest is 100.

Largest 8 diffraction maxima, most intense first, 2θ from 10° to 90°:
32.17 deg, I = 100
35.27 deg, I = 19
35.46 deg, I = 19
61.61 deg, I = 15
61.36 deg, I = 15
50.88 deg, I = 14
40.99 deg, I = 13
67.31 deg, I = 12

Atomic structure:
```
data_Sm6In5Bi
_chemical_formula_sum 'Sm12 In10 Bi2'
_symmetry_space_group_name_H-M 'C m m m'
_symmetry_Int_Tables_number 65
_symmetry_space_group_name_Hall '-C 2 2'
_cell_length_a 5.0631
_cell_length_b 15.2666
_cell_length_c 8.8064
_cell_angle_alpha 90.00
_cell_angle_beta 90.00
_cell_angle_gamma 90.00
loop_
_atom_site_label
_atom_site_type_symbol
_atom_site_fract_x
_atom_site_fract_y
_atom_site_fract_z
Sm1 Sm 0.0000 0.0000 0.2483
Sm2 Sm 0.0000 0.3332 0.2462
In1 In 0.0000 0.1660 0.0000
In2 In 0.0000 0.1747 0.5000
In3 In 0.0000 0.5000 0.0000
Bi1 Bi 0.0000 0.5000 0.5000
```

---

# 7
The following is a theoretical X-ray diffraction stick pattern of Sm6In2Bi. It was derived from a DFT-relaxed cell (GGA-PBE, Alexandria), using Cu Kα.
Intensities are scaled so that the largest is 100.

Largest 8 diffraction maxima, most intense first, 2θ from 10° to 90°:
29.46 deg, I = 100
31.75 deg, I = 82
57.01 deg, I = 78
35.23 deg, I = 70
37.88 deg, I = 34
30.96 deg, I = 33
43.38 deg, I = 23
64.97 deg, I = 17

Atomic structure:
```
data_Sm6In2Bi
_chemical_formula_sum 'Sm6 In2 Bi1'
_symmetry_space_group_name_H-M 'P -6 2 m'
_symmetry_Int_Tables_number 189
_symmetry_space_group_name_Hall 'P -6 -2'
_cell_length_a 8.8254
_cell_length_b 8.8254
_cell_length_c 4.1721
_cell_angle_alpha 90.00
_cell_angle_beta 90.00
_cell_angle_gamma 120.00
loop_
_atom_site_label
_atom_site_type_symbol
_atom_site_fract_x
_atom_site_fract_y
_atom_site_fract_z
Sm1 Sm 0.0000 0.2791 0.0000
Sm2 Sm 0.0000 0.6050 0.5000
In1 In 0.3333 0.6667 0.0000
Bi1 Bi 0.0000 0.0000 0.5000
```

---

# 8
The following is a theoretical X-ray diffraction stick pattern of Sm6In5Bi. It was derived from a DFT-relaxed cell (GGA-PBE, Alexandria), using Cu Kα.
Intensities are scaled so that the largest is 100.

Largest 8 diffraction maxima, most intense first, 2θ from 10° to 90°:
32.17 deg, I = 100
35.38 deg, I = 19
35.55 deg, I = 19
61.51 deg, I = 15
61.73 deg, I = 15
51.03 deg, I = 13
40.81 deg, I = 13
67.31 deg, I = 12

Atomic structure:
```
data_Sm6In5Bi
_chemical_formula_sum 'Sm12 In10 Bi2'
_symmetry_space_group_name_H-M 'I m m m'
_symmetry_Int_Tables_number 71
_symmetry_space_group_name_Hall '-I 2 2'
_cell_length_a 5.0736
_cell_length_b 8.8445
_cell_length_c 15.1506
_cell_angle_alpha 90.00
_cell_angle_beta 90.00
_cell_angle_gamma 90.00
loop_
_atom_site_label
_atom_site_type_symbol
_atom_site_fract_x
_atom_site_fract_y
_atom_site_fract_z
Sm1 Sm 0.0000 0.2475 0.0000
Sm2 Sm 0.0000 0.2499 0.3335
In1 In 0.0000 0.0000 0.1667
In2 In 0.0000 0.5000 0.1743
In3 In 0.0000 0.5000 0.5000
Bi1 Bi 0.0000 0.0000 0.5000
```

---

# 9
The following is a theoretical X-ray diffraction stick pattern of Sm5In2Bi2. It was derived from a DFT-relaxed cell (GGA-PBE, Alexandria), using Cu Kα.
Intensities are scaled so that the largest is 100.

Largest 8 diffraction maxima, most intense first, 2θ from 10° to 90°:
34.31 deg, I = 100
30.78 deg, I = 81
29.06 deg, I = 69
32.62 deg, I = 60
30.18 deg, I = 58
31.58 deg, I = 48
44.25 deg, I = 46
63.56 deg, I = 29

Atomic structure:
```
data_Sm5In2Bi2
_chemical_formula_sum 'Sm20 In8 Bi8'
_symmetry_space_group_name_H-M 'C m c e'
_symmetry_Int_Tables_number 64
_symmetry_space_group_name_Hall '-C 2ac 2'
_cell_length_a 16.1287
_cell_length_b 8.3826
_cell_length_c 8.3695
_cell_angle_alpha 90.00
_cell_angle_beta 90.00
_cell_angle_gamma 90.00
loop_
_atom_site_label
_atom_site_type_symbol
_atom_site_fract_x
_atom_site_fract_y
_atom_site_fract_z
Sm1 Sm 0.0000 0.0000 0.0000
Sm2 Sm 0.1353 0.1722 0.3314
In1 In 0.0000 0.1266 0.6257
Bi1 Bi 0.2049 0.0000 0.0000
```

---

# 10
The following is a theoretical X-ray diffraction stick pattern of In4SnBi. It was derived from a DFT-relaxed cell (GGA-PBE, Alexandria), using Cu Kα.
Intensities are scaled so that the largest is 100.

Largest 8 diffraction maxima, most intense first, 2θ from 10° to 90°:
32.43 deg, I = 100
33.01 deg, I = 84
33.77 deg, I = 46
32.56 deg, I = 38
65.32 deg, I = 26
47.62 deg, I = 26
46.28 deg, I = 19
58.51 deg, I = 18

Atomic structure:
```
data_In4SnBi
_chemical_formula_sum 'In8 Sn2 Bi2'
_symmetry_space_group_name_H-M 'P m m n'
_symmetry_Int_Tables_number 59
_cell_length_a 5.3087
_cell_length_b 6.6778
_cell_length_c 9.6964
_cell_angle_alpha 90.00
_cell_angle_beta 90.00
_cell_angle_gamma 90.00
loop_
_symmetry_equiv_pos_as_xyz
'x,y,z'
'-x,-y,-z'
'-x+1/2,-y+1/2,z'
'x+1/2,y+1/2,-z'
'x+1/2,-y,-z'
'-x+1/2,y,z'
'-x,y+1/2,-z'
'x,-y+1/2,z'
loop_
_atom_site_label
_atom_site_type_symbol
_atom_site_fract_x
_atom_site_fract_y
_atom_site_fract_z
In1 In 0.2500 0.0044 0.2436
In2 In 0.2500 0.7500 0.5939
In3 In 0.2500 0.7500 0.9222
Sn1 Sn 0.2500 0.2500 0.9143
Bi1 Bi 0.2500 0.2500 0.5889
```

---

# 11
The following is a theoretical X-ray diffraction stick pattern of In2Sn3Bi2. It was derived from a DFT-relaxed cell (GGA-PBE, Alexandria), using Cu Kα.
Intensities are scaled so that the largest is 100.

Largest 8 diffraction maxima, most intense first, 2θ from 10° to 90°:
30.89 deg, I = 100
32.78 deg, I = 81
32.27 deg, I = 78
31.34 deg, I = 60
32.39 deg, I = 56
27.78 deg, I = 37
36.44 deg, I = 35
56.51 deg, I = 31

Atomic structure:
```
data_In2Sn3Bi2
_chemical_formula_sum 'In4 Sn6 Bi4'
_symmetry_space_group_name_H-M 'P 1 21/c 1'
_symmetry_Int_Tables_number 14
_cell_length_a 5.7950
_cell_length_b 10.5990
_cell_length_c 8.7144
_cell_angle_alpha 90.00
_cell_angle_beta 129.35
_cell_angle_gamma 90.00
loop_
_symmetry_equiv_pos_as_xyz
'x,y,z'
'-x,-y,-z'
'-x,y+1/2,-z+1/2'
'x,-y+1/2,z+1/2'
loop_
_atom_site_label
_atom_site_type_symbol
_atom_site_fract_x
_atom_site_fract_y
_atom_site_fract_z
In1 In 0.1741 0.2322 0.1855
Sn1 Sn 0.0000 0.0000 0.5000
Sn2 Sn 0.4147 0.6342 0.4091
Bi1 Bi 0.2812 0.5719 0.7705
```

---

# 12
The following is a theoretical X-ray diffraction stick pattern of In7Sn5Bi. It was derived from a DFT-relaxed cell (GGA-PBE, Alexandria), using Cu Kα.
Intensities are scaled so that the largest is 100.

Largest 8 diffraction maxima, most intense first, 2θ from 10° to 90°:
32.76 deg, I = 100
31.72 deg, I = 95
32.61 deg, I = 72
32.18 deg, I = 63
31.80 deg, I = 58
30.70 deg, I = 30
28.52 deg, I = 26
56.75 deg, I = 26

Atomic structure:
```
data_In7Sn5Bi
_chemical_formula_sum 'In14 Sn10 Bi2'
_symmetry_space_group_name_H-M 'C 1 m 1'
_symmetry_Int_Tables_number 8
_cell_length_a 12.7560
_cell_length_b 11.2991
_cell_length_c 5.6323
_cell_angle_alpha 90.00
_cell_angle_beta 114.04
_cell_angle_gamma 90.00
loop_
_symmetry_equiv_pos_as_xyz
'x,y,z'
'x,-y,z'
'x+1/2,y+1/2,z'
'x+1/2,-y+1/2,z'
loop_
_atom_site_label
_atom_site_type_symbol
_atom_site_fract_x
_atom_site_fract_y
_atom_site_fract_z
In1 In 0.0000 0.0000 0.0000
In2 In 0.0870 0.5000 0.0670
In3 In 0.1924 0.3631 0.6950
In4 In 0.1933 0.2062 0.1605
In5 In 0.3477 0.5000 0.4070
Sn1 Sn 0.3902 0.1844 0.7686
Sn2 Sn 0.3928 0.0000 0.2921
Sn3 Sn 0.4756 0.2780 0.3394
Bi1 Bi 0.1894 0.0000 0.7009
```